Entry 1:
This entry pairs a crystal structure of Ac2I2NCl with its simulated powder XRD pattern. Radiation: Cu Kα (λ = 1.5418 Å). Structure: a crystal structure in Alexandria, relaxed with GGA-PBE.

Structure:
```
Ac2I2NCl
1.0
-3.5660 8.2665 3.2485
3.5660 -8.2665 3.2485
3.5660 8.2665 -3.2485
Ac I N Cl
4 4 2 2
direct
0.0815 0.1804 0.2619
0.4185 0.6804 0.0989
0.5815 0.3196 0.9011
0.9185 0.8196 0.7381
0.1842 0.7685 0.9527
0.3158 0.2685 0.5844
0.6842 0.7315 0.4156
0.8158 0.2315 0.0473
0.2500 0.2500 0.0000
0.7500 0.7500 0.0000
0.2500 0.7500 0.5000
0.7500 0.2500 0.5000
```

Most intense lines, 2θ from 5° to 70°, sorted by position:
2θ/deg  I_rel
13.52  174
21.40  129
24.97  215
27.46  309
28.49  1000
32.94  240
37.45  221
38.25  116
47.72  101
47.92  91
49.18  225
56.03  95

Entry 2:
This entry pairs a crystal structure of Be2Ni13 with its simulated powder XRD pattern. Radiation: Cu Kα (λ = 1.5418 Å). Structure: a crystal structure in Alexandria, relaxed with GGA-PBE.

Structure:
```
Be2Ni13
1.0
4.2697 0.0000 0.0000
0.7284 5.4954 0.0000
1.9822 1.9811 6.6752
Be Ni
2 13
direct
0.1382 0.2948 0.4654
0.8618 0.7052 0.5346
0.0000 0.5000 0.0000
0.0601 0.9040 0.7238
0.1996 0.6908 0.2145
0.2641 0.1013 0.9340
0.3171 0.5023 0.6588
0.4103 0.8972 0.4015
0.4678 0.2994 0.1391
0.5322 0.7006 0.8609
0.5897 0.1028 0.5985
0.6829 0.4977 0.3412
0.7359 0.8987 0.0660
0.8004 0.3092 0.7855
0.9399 0.0960 0.2762
```

Most intense lines, 2θ from 5° to 70°, sorted by position:
2θ/deg  I_rel
13.26  54
22.46  18
25.01  16
26.71  18
30.05  15
34.43  14
36.97  13
41.09  23
45.28  1000
52.16  164
52.22  162
53.95  139

Entry 3:
This entry pairs a crystal structure of Nd3Te2Pb with its simulated powder XRD pattern. Radiation: Cu Kα (λ = 1.5418 Å). Structure: a crystal structure in Alexandria, relaxed with GGA-PBE.

Structure:
```
Nd3Te2Pb
1.0
-2.2786 3.2018 6.7793
2.2786 -3.2018 6.7793
2.2786 3.2018 -6.7793
Nd Te Pb
3 2 1
direct
0.0000 0.0000 0.0000
0.3366 0.3366 0.0000
0.6634 0.6634 0.0000
0.1673 0.6673 0.5000
0.8327 0.3327 0.5000
0.5000 0.0000 0.5000
```

Most intense lines, 2θ from 5° to 70°, sorted by position:
2θ/deg  I_rel
15.30  23
27.82  1000
39.55  131
39.77  515
39.89  127
49.07  143
49.36  138
57.43  88
57.57  44
64.75  64
65.07  243
65.23  59

Entry 4:
This entry pairs a crystal structure of Pu2H2O7 with its simulated powder XRD pattern. Radiation: Cu Kα (λ = 1.5418 Å). Structure: a crystal structure in Alexandria, relaxed with GGA-PBE.

Structure:
```
Pu2H2O7
1.0
5.8805 0.0000 0.0000
-2.9066 5.1121 0.0000
-1.2659 -2.1564 7.1032
Pu H O
2 2 7
direct
0.0000 0.0000 0.0000
0.3322 0.6678 0.0000
0.0088 0.6762 0.3661
0.0484 0.7165 0.5814
0.0121 0.3263 0.8564
0.1100 0.7776 0.1457
0.2217 0.8899 0.8536
0.3190 0.3410 0.1428
0.6583 0.6802 0.8565
0.6734 0.9866 0.1428
0.9239 0.5914 0.4577
```

Most intense lines, 2θ from 5° to 70°, sorted by position:
2θ/deg  I_rel
12.46  1000
18.14  220
18.80  191
21.50  147
24.93  88
25.07  161
26.37  89
30.87  146
31.28  214
35.43  89
36.50  172
45.09  103

Entry 5:
This entry pairs a crystal structure of K2CaNd4Nb2O12 with its simulated powder XRD pattern. Radiation: Cu Kα (λ = 1.5418 Å). Structure: a crystal structure in Alexandria, relaxed with GGA-PBE.

Structure:
```
K2CaNd4Nb2O12
1.0
6.2733 -2.9425 0.0000
6.2733 2.9425 0.0000
-2.3905 0.0000 8.8785
K Ca Nd Nb O
2 1 4 2 12
direct
0.0000 0.0000 0.0000
0.7363 0.7363 0.9642
0.8057 0.8057 0.2942
0.0464 0.0464 0.4679
0.2934 0.2934 0.3211
0.4619 0.4619 0.6943
0.7556 0.7556 0.6049
0.2282 0.2282 0.8048
0.5321 0.5321 0.2199
0.1049 0.5764 0.8006
0.1171 0.6509 0.5038
0.1796 0.6692 0.2249
0.2106 0.2106 0.0023
0.3606 0.8764 0.6951
0.4283 0.8784 0.3390
0.5501 0.5501 0.0260
0.5764 0.1049 0.8006
0.6509 0.1171 0.5038
0.6692 0.1796 0.2249
0.8764 0.3606 0.6951
0.8784 0.4283 0.3390
```

Most intense lines, 2θ from 5° to 70°, sorted by position:
2θ/deg  I_rel
9.96  691
26.50  515
27.65  1000
29.49  218
29.90  801
30.38  457
36.43  208
42.85  343
43.19  232
45.97  244
50.58  197
52.32  167

Entry 6:
This entry pairs a crystal structure of LiPm2SiO5 with its simulated powder XRD pattern. Radiation: Cu Kα (λ = 1.5418 Å). Structure: a crystal structure in Alexandria, relaxed with GGA-PBE.

Structure:
```
LiPm2SiO5
1.0
6.7698 0.0000 0.0000
0.0000 6.7698 0.0000
0.0000 0.0000 5.3709
Li Pm Si O
2 4 2 10
direct
0.0000 0.0000 0.0000
0.5000 0.5000 0.0000
0.1796 0.3204 0.5000
0.3204 0.8204 0.5000
0.6796 0.1796 0.5000
0.8204 0.6796 0.5000
0.0000 0.5000 0.0000
0.5000 0.0000 0.0000
0.0000 0.0000 0.5000
0.1256 0.6256 0.2301
0.1256 0.6256 0.7699
0.3744 0.1256 0.2301
0.3744 0.1256 0.7699
0.5000 0.5000 0.5000
0.6256 0.8744 0.2301
0.6256 0.8744 0.7699
0.8744 0.3744 0.2301
0.8744 0.3744 0.7699
```

Most intense lines, 2θ from 5° to 70°, sorted by position:
2θ/deg  I_rel
16.50  1000
18.54  207
26.33  167
29.50  338
31.23  495
33.37  196
33.99  856
45.13  532
45.62  206
58.81  269
66.78  184
68.35  157

Entry 7:
This entry pairs a crystal structure of Li2Dy5Sn5 with its simulated powder XRD pattern. Radiation: Cu Kα (λ = 1.5418 Å). Structure: a crystal structure in Alexandria, relaxed with GGA-PBE.

Structure:
```
Li2Dy5Sn5
1.0
5.8757 -2.3486 0.0000
5.8757 2.3486 0.0000
-5.0948 0.0000 11.2973
Li Dy Sn
2 5 5
direct
0.2294 0.2294 0.2836
0.7706 0.7706 0.7164
0.1067 0.1067 0.7785
0.1495 0.1495 0.4906
0.5000 0.5000 0.0000
0.8505 0.8505 0.5094
0.8933 0.8933 0.2215
0.2110 0.2110 0.0593
0.3936 0.3936 0.7184
0.5000 0.5000 0.5000
0.6064 0.6064 0.2816
0.7890 0.7890 0.9407
```

Most intense lines, 2θ from 5° to 70°, sorted by position:
2θ/deg  I_rel
20.85  375
29.05  362
29.79  374
30.22  949
31.47  800
31.68  676
32.67  435
34.13  1000
34.98  427
36.79  549
38.33  770
50.54  371

Entry 8:
This entry pairs a crystal structure of SrSi2W with its simulated powder XRD pattern. Radiation: Cu Kα (λ = 1.5418 Å). Structure: a crystal structure in Alexandria, relaxed with GGA-PBE.

Structure:
```
SrSi2W
1.0
4.2013 -1.6600 0.0000
4.2013 1.6600 0.0000
-3.4961 0.0000 6.2098
Sr Si W
1 2 1
direct
0.0000 0.0000 0.0000
0.1318 0.1318 0.6182
0.4356 0.4356 0.3440
0.7811 0.7811 0.4704
```

Most intense lines, 2θ from 5° to 70°, sorted by position:
2θ/deg  I_rel
14.26  1000
21.28  919
28.75  698
29.54  681
30.14  623
33.98  604
35.56  291
37.06  897
38.02  270
42.38  656
49.77  350
61.34  329

Entry 9:
This entry pairs a crystal structure of Zr2TaTe with its simulated powder XRD pattern. Radiation: Cu Kα (λ = 1.5418 Å). Structure: a crystal structure in Alexandria, relaxed with GGA-PBE.

Structure:
```
Zr2TaTe
1.0
3.5132 0.0000 0.0000
0.0000 4.7451 0.0000
-1.7562 0.0000 5.2769
Zr Ta Te
2 1 1
direct
0.0000 0.0000 0.0000
0.2897 0.5000 0.5772
0.5504 0.5000 0.1025
0.7240 0.0000 0.4475
```

Most intense lines, 2θ from 5° to 70°, sorted by position:
2θ/deg  I_rel
16.80  158
26.74  193
32.84  1000
33.98  280
37.92  426
39.06  372
40.99  820
51.82  167
52.05  195
65.30  134
66.19  188
66.97  150

Entry 10:
This entry pairs a crystal structure of Tb5Tl2H with its simulated powder XRD pattern. Radiation: Cu Kα (λ = 1.5418 Å). Structure: a crystal structure in Alexandria, relaxed with GGA-PBE.

Structure:
```
Tb5Tl2H
1.0
-3.4798 3.4798 4.5078
3.4798 -3.4798 4.5078
3.4798 3.4798 -4.5078
Tb Tl H
5 2 1
direct
0.0000 0.0000 0.0000
0.4962 0.4962 0.5023
0.4962 0.9939 0.0000
0.9939 0.4962 0.0000
0.9939 0.9939 0.4977
0.4966 0.9966 0.5000
0.9966 0.4966 0.5000
0.2493 0.2493 0.0000
```

Most intense lines, 2θ from 5° to 70°, sorted by position:
2θ/deg  I_rel
16.09  96
18.03  83
26.82  67
30.38  42
32.50  1000
36.52  362
40.00  141
52.60  128
55.27  221
63.21  300
67.95  119
68.08  125

Entry 11:
This entry pairs a crystal structure of Nd6Zn5 with its simulated powder XRD pattern. Radiation: Cu Kα (λ = 1.5418 Å). Structure: a crystal structure in Alexandria, relaxed with GGA-PBE.

Structure:
```
Nd6Zn5
1.0
-2.5809 3.6837 7.7309
2.5809 -3.6837 7.7309
2.5809 3.6837 -7.7309
Nd Zn
6 5
direct
0.0840 0.8362 0.2479
0.2492 0.5000 0.7492
0.4117 0.1638 0.2479
0.5883 0.8362 0.7521
0.7508 0.5000 0.2508
0.9160 0.1638 0.7521
0.1729 0.6729 0.5000
0.3318 0.3318 0.0000
0.5000 0.0000 0.5000
0.6682 0.6682 0.0000
0.8271 0.3271 0.5000
```

Most intense lines, 2θ from 5° to 70°, sorted by position:
2θ/deg  I_rel
24.16  108
24.41  212
34.61  1000
34.79  492
42.80  98
49.49  90
50.02  173
55.93  46
56.32  67
56.45  22
61.91  181
62.25  352